Record 1
For K2Hg6Au, a structure optimized by DFT (GGA-PBE) gives the theoretical powder diffractogram in this record (Cu Kα (weighted mean of Kα1 and Kα2)).
Peak positions follow from Bragg's law for the DFT cell and can differ from measured ones.

Principal peaks in the range 2θ = 5–70°, by angle:
h k l	d_spacing	2θ (°)	Rel. int.
1 0 0	5.984	14.81	18
0 1 1	4.346	20.43	31
1 1 1	3.032	29.46	18
1 0 2	2.796	32.01	14
0 2 1	2.704	33.12	100
2 1 0	2.262	39.86	16
2 0 2	2.173	41.55	40
2 2 0	1.727	53.02	23
2 1 3	1.542	59.99	12
4 0 1	1.456	63.95	14

Crystal structure
Cell lengths 6.9092, 6.9092, 6.3241 Å; angles 90.00, 90.00, 120.00 degrees
Space group P-3m1 (No. 164)
Unique sites:
K: 0.3333 0.6667 0.3271 [2 per cell]
Hg: 0.1782 0.3564 0.8158 [6 per cell]
Au: 0.0000 0.0000 0.5000 [1 per cell]

Record 2
For KHg9Au2, a structure optimized by DFT (GGA-PBE) gives the theoretical powder diffractogram in this record (Cu Kα (weighted mean of Kα1 and Kα2)).
Peak positions follow from Bragg's law for the DFT cell and can differ from measured ones.

Principal peaks in the range 2θ = 5–70°, by angle:
h k l	d_spacing	2θ (°)	Rel. int.
1 0 0	8.378	10.56	48
1 0 1	3.600	24.73	20
1 1 1	3.077	29.02	31
2 0 1	2.888	30.96	81
2 1 1	2.480	36.23	81
2 2 0	2.418	37.18	100
3 0 1	2.287	39.39	20
0 0 2	1.994	45.50	23
5 0 1	1.545	59.88	24
2 2 2	1.538	60.15	50

Crystal structure
Cell lengths 9.6737, 9.6737, 3.9874 Å; angles 90.00, 90.00, 120.00 degrees
Space group P6/mmm (No. 191)
Unique sites:
K: 0.0000 0.0000 0.0000 [1 per cell]
Hg: 0.0000 0.5000 0.0000 [3 per cell]
Hg: 0.1870 0.3739 0.5000 [6 per cell]
Au: 0.3333 0.6667 0.0000 [2 per cell]

Record 3
For KHgAu2, a structure optimized by DFT (GGA-PBE) gives the theoretical powder diffractogram in this record (Cu Kα (weighted mean of Kα1 and Kα2)).
Peak positions follow from Bragg's law for the DFT cell and can differ from measured ones.

Principal peaks in the range 2θ = 5–70°, by angle:
h k l	d_spacing	2θ (°)	Rel. int.
0 0 3	5.797	15.28	100
1 0 4	3.008	29.70	36
0 1 5	2.670	33.57	26
1 1 0	2.405	37.39	67
1 1 3	2.221	40.61	57
1 0 7	2.134	42.36	19
1 1 6	1.851	49.23	15
1 0 10	1.605	57.42	10
3 0 0	1.389	67.45	12
3 0 3	1.350	69.63	12

Crystal structure
Cell lengths 4.8099, 4.8099, 17.3915 Å; angles 90.00, 90.00, 120.00 degrees
Space group R3m (No. 160, hexagonal axes)
Unique sites:
K: 0.0000 0.0000 0.0000 [3 per cell]
Hg: 0.0000 0.0000 0.2005 [3 per cell]
Au: 0.0000 0.0000 0.4730 [3 per cell]
Au: 0.0000 0.0000 0.8003 [3 per cell]

Record 4
For K2HgAu6, a structure optimized by DFT (GGA-PBE) gives the theoretical powder diffractogram in this record (Cu Kα (weighted mean of Kα1 and Kα2)).
Peak positions follow from Bragg's law for the DFT cell and can differ from measured ones.

Principal peaks in the range 2θ = 5–70°, by angle:
h k l	d_spacing	2θ (°)	Rel. int.
0 0 1	7.256	12.20	62
0 1 1	4.547	19.52	85
1 1 0	4.522	19.63	42
1 0 -2	2.640	33.96	59
2 0 0	2.438	36.87	70
0 0 3	2.421	37.14	100
0 2 2	2.279	39.55	39
2 0 2	2.268	39.74	42
2 2 0	2.261	39.88	46
0 2 -1	2.169	41.64	61

Crystal structure
Cell lengths 5.7439, 5.7648, 7.9797 Å; angles 68.84, 69.01, 60.41 degrees
Space group P-1 (No. 2)
Unique sites:
K: 0.2044 0.2043 0.3863 [2 per cell]
Hg: 0.5000 0.5000 0.5000 [1 per cell]
Au: 0.2223 0.2208 0.8380 [2 per cell]
Au: 0.2226 0.7166 0.8384 [2 per cell]
Au: 0.2812 0.7787 0.1628 [2 per cell]

Record 5
For KHg10Au3, a structure optimized by DFT (GGA-PBE) gives the theoretical powder diffractogram in this record (Cu Kα (weighted mean of Kα1 and Kα2)).
Peak positions follow from Bragg's law for the DFT cell and can differ from measured ones.

Principal peaks in the range 2θ = 5–70°, by angle:
h k l	d_spacing	2θ (°)	Rel. int.
2 2 0	5.203	17.04	41
3 3 3	2.832	31.59	100
4 4 0	2.601	34.48	45
5 3 1	2.487	36.11	52
6 0 0	2.453	36.64	26
6 2 2	2.219	40.67	41
6 4 0	2.041	44.39	16
6 6 0	1.734	52.78	18
9 1 1	1.615	57.01	15
8 4 4	1.502	61.76	26

Crystal structure
Cell lengths 14.7161, 14.7161, 14.7161 Å; angles 90.00, 90.00, 90.00 degrees
Space group Fm-3m (No. 225)
Unique sites:
K: 0.2500 0.2500 0.2500 [8 per cell]
Hg: 0.0000 0.1749 0.1749 [48 per cell]
Hg: 0.1114 0.1114 0.3886 [32 per cell]
Au: 0.0000 0.0000 0.2568 [24 per cell]

Record 6
For K8Hg3Au, a structure optimized by DFT (GGA-PBE) gives the theoretical powder diffractogram in this record (Cu Kα (weighted mean of Kα1 and Kα2)).
Peak positions follow from Bragg's law for the DFT cell and can differ from measured ones.

Principal peaks in the range 2θ = 5–70°, by angle:
h k l	d_spacing	2θ (°)	Rel. int.
1 0 0	8.730	10.13	20
1 1 0	5.040	17.60	100
2 -1 1	4.055	21.92	28
3 0 0	2.910	30.73	56
2 -1 2	2.826	31.66	85
2 2 0	2.520	35.63	19
3 0 2	2.215	40.74	20
2 2 2	2.027	44.70	32
4 1 0	1.905	47.74	18
5 -1 2	1.664	55.22	32

Crystal structure
Cell lengths 10.0803, 10.0803, 6.8273 Å; angles 90.00, 90.00, 120.00 degrees
Space group P-31m (No. 162)
Unique sites:
K: 0.0000 0.3003 0.2275 [6 per cell]
K: 0.3333 0.6667 0.5000 [2 per cell]
Hg: 0.0000 0.0000 0.0000 [1 per cell]
Hg: 0.3333 0.6667 0.0000 [2 per cell]
Au: 0.0000 0.0000 0.5000 [1 per cell]